Record 1
HfZrBiP: computed X-ray powder pattern (copper Kα), based on a structure optimized by DFT (PBE).
Intensities are scaled so that the largest is 100.

Atomic structure:
```
8
Lattice="3.851 0.000 0.000 -1.926 3.335 0.000 0.000 0.000 13.574" Properties=species:S:1:pos:R:3 pbc="T T T"
Hf 0.000 2.224 5.478
Hf 1.926 1.112 8.096
Zr 0.000 2.224 1.343
Zr 1.926 1.112 12.231
Bi 0.000 2.224 10.148
Bi 1.926 1.112 3.425
P 0.000 0.000 0.000
P 0.000 0.000 6.787
```

The 10 most intense peaks (10° ≤ 2θ ≤ 90°), low angle first:
two_theta	I_rel
26.7	23
29.8	9
33.4	100
39.8	11
47.2	30
48.6	14
59.0	20
63.4	16
68.2	9
78.8	17

=====

Record 2
Hf3Bi4Pd4: computed X-ray powder pattern (copper Kα), based on a structure optimized by DFT (PBE).
Intensities are scaled so that the largest is 100.

Atomic structure:
```
11
Lattice="-3.234 3.234 6.367 3.234 -3.234 6.367 3.234 3.234 -6.367" Properties=species:S:1:pos:R:3 pbc="T T T"
Hf 0.000 0.000 0.000
Hf 3.234 0.000 3.184
Hf 0.000 3.234 3.184
Bi 3.234 0.000 0.000
Bi 0.000 0.000 3.423
Bi 0.000 3.234 0.000
Bi 0.000 0.000 9.311
Pd 1.724 -1.724 4.716
Pd 1.509 1.509 1.651
Pd -1.724 1.724 4.716
Pd 1.724 1.724 8.018
```

The 10 most intense peaks (10° ≤ 2θ ≤ 90°), low angle first:
two_theta	I_rel
24.0	33
27.6	37
28.0	16
39.4	53
39.7	100
46.6	11
49.1	15
57.0	18
71.7	34
72.3	15

=====

Record 3
Hf3Bi4Pd3: computed X-ray powder pattern (copper Kα), based on a structure optimized by DFT (PBE).
Intensities are scaled so that the largest is 100.

Atomic structure:
```
20
Lattice="-4.799 4.799 4.799 4.799 -4.799 4.799 4.799 4.799 -4.799" Properties=species:S:1:pos:R:3 pbc="T T T"
Hf 4.799 -2.400 3.599
Hf 3.599 4.799 -2.400
Hf 4.799 2.400 1.200
Hf 2.400 1.200 4.799
Hf 1.200 4.799 2.400
Hf -2.400 3.599 4.799
Bi 3.317 1.482 -1.482
Bi 5.717 -0.918 0.918
Bi 1.482 -1.482 3.317
Bi 1.482 1.482 1.482
Bi -1.482 3.317 1.482
Bi 0.918 5.717 -0.918
Bi -0.918 0.918 5.717
Bi 3.881 3.881 3.881
Pd 7.199 1.200 0.000
Pd 3.599 0.000 2.400
Pd 2.400 3.599 0.000
Pd 0.000 2.400 3.599
Pd 1.200 0.000 7.199
Pd 0.000 7.199 1.200
```

The 10 most intense peaks (10° ≤ 2θ ≤ 90°), low angle first:
two_theta	I_rel
29.4	25
35.0	100
42.1	22
46.3	15
52.2	16
59.4	9
66.0	12
67.6	8
69.2	9
73.9	8

=====

Record 4
Hf3Bi4Pd4: computed X-ray powder pattern (copper Kα), based on a structure optimized by DFT (PBE).
Intensities are scaled so that the largest is 100.

Atomic structure:
```
11
Lattice="7.073 0.000 0.000 0.000 4.484 0.000 -0.123 0.000 7.783" Properties=species:S:1:pos:R:3 pbc="T T T"
Hf 0.000 0.000 0.000
Hf 0.241 2.242 3.409
Hf 3.711 0.000 7.697
Bi 2.066 2.242 0.911
Bi 2.056 0.000 5.159
Bi 4.818 2.242 5.981
Bi 5.025 0.000 2.589
Pd 0.580 2.242 6.218
Pd 1.941 0.000 2.460
Pd 5.851 2.242 0.980
Pd 6.301 0.000 5.033
```

The 10 most intense peaks (10° ≤ 2θ ≤ 90°), low angle first:
two_theta	I_rel
26.3	23
32.9	11
34.1	72
34.5	40
40.2	100
53.4	8
54.0	23
57.5	7
69.2	10
73.1	12

=====

Record 5
HfZrBiSb: computed X-ray powder pattern (copper Kα), based on a structure optimized by DFT (PBE).
Intensities are scaled so that the largest is 100.

Atomic structure:
```
8
Lattice="4.156 0.000 0.000 -2.078 3.600 0.000 0.000 0.000 13.665" Properties=species:S:1:pos:R:3 pbc="T T T"
Hf 0.000 0.000 1.843
Hf 0.000 0.000 11.822
Zr 0.000 2.400 4.947
Zr 0.000 2.400 8.718
Bi 0.000 0.000 6.833
Bi 0.000 2.400 0.000
Sb 2.078 1.200 3.370
Sb 2.078 1.200 10.296
```

The 10 most intense peaks (10° ≤ 2θ ≤ 90°), low angle first:
two_theta	I_rel
24.7	12
28.0	41
31.7	100
36.3	13
41.5	27
43.5	53
47.2	18
54.8	22
71.5	21
72.5	19

=====

Record 6
HfZrBiSb: computed X-ray powder pattern (copper Kα), based on a structure optimized by DFT (PBE).
Intensities are scaled so that the largest is 100.

Atomic structure:
```
8
Lattice="4.150 0.000 0.000 -2.075 3.594 0.000 0.000 0.000 13.696" Properties=species:S:1:pos:R:3 pbc="T T T"
Hf 0.000 2.396 5.297
Hf 2.075 1.198 8.400
Zr 0.000 2.396 1.562
Zr 2.075 1.198 12.134
Bi 0.000 2.396 10.236
Bi 2.075 1.198 3.461
Sb 0.000 0.000 0.000
Sb 0.000 0.000 6.848
```

The 10 most intense peaks (10° ≤ 2θ ≤ 90°), low angle first:
two_theta	I_rel
28.0	45
31.7	100
36.2	11
41.4	26
43.6	53
47.2	20
54.9	21
71.4	21
72.6	19
80.1	9

=====

Record 7
HfTaBi: computed X-ray powder pattern (copper Kα), based on a structure optimized by DFT (PBE).
Intensities are scaled so that the largest is 100.

Atomic structure:
```
3
Lattice="0.000 3.387 3.387 3.387 0.000 3.387 3.387 3.387 0.000" Properties=species:S:1:pos:R:3 pbc="T T T"
Hf 0.000 0.000 0.000
Ta 5.080 5.080 5.080
Bi 3.387 3.387 3.387
```

The 10 most intense peaks (10° ≤ 2θ ≤ 90°), low angle first:
two_theta	I_rel
22.7	25
26.3	17
37.6	100
44.4	13
46.4	5
54.2	18
59.5	6
61.2	7
67.8	36
80.2	12

=====

Record 8
Hf2TcBi: computed X-ray powder pattern (copper Kα), based on a structure optimized by DFT (PBE).
Intensities are scaled so that the largest is 100.

Atomic structure:
```
4
Lattice="0.000 3.428 3.428 3.428 0.000 3.428 3.428 3.428 0.000" Properties=species:S:1:pos:R:3 pbc="T T T"
Hf 0.000 0.000 0.000
Hf 1.714 1.714 1.714
Tc 5.141 5.141 5.141
Bi 3.428 3.428 3.428
```

The 10 most intense peaks (10° ≤ 2θ ≤ 90°), low angle first:
two_theta	I_rel
22.5	3
26.0	3
37.1	100
43.8	2
45.9	1
53.5	18
58.7	1
60.4	1
66.9	36
79.0	11

=====

Record 9
HfZn2Bi: computed X-ray powder pattern (copper Kα), based on a structure optimized by DFT (PBE).
Intensities are scaled so that the largest is 100.

Atomic structure:
```
4
Lattice="0.000 3.491 3.491 3.491 0.000 3.491 3.491 3.491 0.000" Properties=species:S:1:pos:R:3 pbc="T T T"
Hf 0.000 0.000 0.000
Zn 1.745 1.745 1.745
Zn 3.491 3.491 3.491
Bi 5.236 5.236 5.236
```

The 10 most intense peaks (10° ≤ 2θ ≤ 90°), low angle first:
two_theta	I_rel
22.1	24
36.4	100
43.0	14
52.4	18
57.5	6
65.5	36
70.0	5
77.3	11
81.6	5
88.6	17

=====

Record 10
KHgBiTe3: computed X-ray powder pattern (copper Kα), based on a structure optimized by DFT (PBE).
Intensities are scaled so that the largest is 100.

Atomic structure:
```
12
Lattice="2.296 -7.862 0.000 2.296 7.862 0.000 0.000 0.000 11.957" Properties=species:S:1:pos:R:3 pbc="T T T"
K 2.296 3.994 8.968
K 2.296 -3.994 2.989
Hg 2.296 0.738 2.989
Hg 2.296 -0.738 8.968
Bi 0.000 0.000 0.000
Bi 0.000 0.000 5.978
Te 2.296 6.722 2.989
Te 2.296 2.154 0.520
Te 2.296 2.154 5.458
Te 2.296 -2.154 6.499
Te 2.296 -2.154 11.436
Te 2.296 -6.722 8.968
```

The 10 most intense peaks (10° ≤ 2θ ≤ 90°), low angle first:
two_theta	I_rel
11.3	87
25.8	20
26.9	46
29.9	100
32.0	19
37.5	19
37.8	25
39.2	23
41.5	20
46.2	18

=====

Record 11
Li2HgBi: computed X-ray powder pattern (copper Kα), based on a structure optimized by DFT (PBE).
Intensities are scaled so that the largest is 100.

Atomic structure:
```
4
Lattice="-2.360 2.369 3.660 2.360 -2.369 3.660 2.360 2.369 -3.660" Properties=species:S:1:pos:R:3 pbc="T T T"
Li 0.000 0.000 1.830
Li 0.000 0.000 5.490
Hg 0.000 2.369 0.000
Bi 2.360 0.000 0.000
```

The 10 most intense peaks (10° ≤ 2θ ≤ 90°), low angle first:
two_theta	I_rel
24.3	62
26.7	100
36.4	100
38.0	22
38.1	22
45.6	24
45.7	24
57.4	25
60.9	21
67.6	17

=====

Record 12
LiHgBiSe3: computed X-ray powder pattern (copper Kα), based on a structure optimized by DFT (PBE).
Intensities are scaled so that the largest is 100.

Atomic structure:
```
12
Lattice="2.165 -7.421 0.000 2.165 7.421 0.000 0.000 0.000 11.194" Properties=species:S:1:pos:R:3 pbc="T T T"
Li 2.165 5.337 8.396
Li 2.165 -5.337 2.799
Hg 2.165 5.601 2.799
Hg 2.165 -5.601 8.396
Bi 2.165 0.000 0.000
Bi 2.165 0.000 5.597
Se 2.165 5.370 0.311
Se 2.165 5.370 5.286
Se 2.165 0.893 2.799
Se 2.165 -0.893 8.396
Se 2.165 -5.370 5.908
Se 2.165 -5.370 10.883
```

The 10 most intense peaks (10° ≤ 2θ ≤ 90°), low angle first:
two_theta	I_rel
11.9	73
14.3	45
22.8	40
26.7	27
27.4	100
28.5	36
32.0	47
36.7	38
42.6	54
49.4	34